# 1
Starting from DFT lattice parameters and positions (PBE), the X-ray powder pattern of Ho2InAu2 was computed for Cu Kα (weighted mean of Kα1 and Kα2).

Largest 6 diffraction maxima, by intensity, 10 to 90 degrees two-theta:
Position (°2θ)	intensity
35.03	1000
35.50	398
33.13	163
62.54	157
68.12	146
15.67	131

Lattice parameters (Å, degrees): 7.9970 7.9970 3.6697 90.00 90.00 90.00
Atoms (fractional coordinates):
Ho 0.1707 0.3293 0.0000
Ho 0.3293 0.8293 0.0000
Ho 0.6707 0.1707 0.0000
Ho 0.8293 0.6707 0.0000
In 0.0000 0.0000 0.5000
In 0.5000 0.5000 0.5000
Au 0.1280 0.6280 0.5000
Au 0.3720 0.1280 0.5000
Au 0.6280 0.8720 0.5000
Au 0.8720 0.3720 0.5000

# 2
Starting from DFT lattice parameters and positions (PBE), the X-ray powder pattern of AlCr4GaC2 was computed for Cu Kα (weighted mean of Kα1 and Kα2).

Largest 6 diffraction maxima, by intensity, 10 to 90 degrees two-theta:
Position (°2θ)	intensity
42.41	1000
36.34	215
43.02	185
65.38	181
57.55	162
81.51	149

Lattice parameters (Å, degrees): 2.8547 2.8547 12.6141 90.00 90.00 120.00
Atoms (fractional coordinates):
Al 0.0000 0.0000 0.0000
Cr 0.0000 0.0000 0.3353
Cr 0.0000 0.0000 0.6647
Cr 0.6667 0.3333 0.1658
Cr 0.6667 0.3333 0.8342
Ga 0.6667 0.3333 0.5000
C 0.3333 0.6667 0.2504
C 0.3333 0.6667 0.7496

# 3
Starting from DFT lattice parameters and positions (PBE), the X-ray powder pattern of LiSiBiO4 was computed for Cu Kα (weighted mean of Kα1 and Kα2).

Largest 6 diffraction maxima, by intensity, 10 to 90 degrees two-theta:
Position (°2θ)	intensity
28.62	1000
19.97	812
34.95	359
40.74	338
45.77	292
58.86	276

Lattice parameters (Å, degrees): 5.1349 5.1349 8.7532 90.00 90.00 120.00
Atoms (fractional coordinates):
Li 0.3333 0.6667 0.0000
Li 0.6667 0.3333 0.5000
Si 0.3333 0.6667 0.3985
Si 0.6667 0.3333 0.8985
Bi 0.0000 0.0000 0.1192
Bi 0.0000 0.0000 0.6192
O 0.0477 0.6985 0.4637
O 0.3015 0.3492 0.4637
O 0.3333 0.6667 0.2142
O 0.3492 0.3015 0.9637
O 0.6508 0.9523 0.4637
O 0.6667 0.3333 0.7142
O 0.6985 0.0477 0.9637
O 0.9523 0.6508 0.9637

# 4
Starting from DFT lattice parameters and positions (PBE), the X-ray powder pattern of Si6NiMo9 was computed for Cu Kα (weighted mean of Kα1 and Kα2).

Largest 6 diffraction maxima, by intensity, 10 to 90 degrees two-theta:
Position (°2θ)	intensity
42.95	1000
38.42	842
42.09	576
45.47	538
70.09	417
27.55	366

Lattice parameters (Å, degrees): 7.2230 7.2230 7.2230 96.69 96.69 140.08
Atoms (fractional coordinates):
Si 0.0000 0.5000 0.5000
Si 0.0680 0.0680 0.6789
Si 0.3890 0.3890 0.3211
Si 0.5000 0.0000 0.5000
Si 0.6110 0.9320 0.0000
Si 0.9320 0.6110 0.0000
Ni 0.0000 0.0000 0.0000
Mo 0.0241 0.8265 0.3534
Mo 0.1735 0.5270 0.1976
Mo 0.3294 0.9759 0.8024
Mo 0.4730 0.6706 0.6466
Mo 0.5000 0.5000 0.0000
Mo 0.5270 0.1735 0.1976
Mo 0.6706 0.4730 0.6466
Mo 0.8265 0.0241 0.3534
Mo 0.9759 0.3294 0.8024

# 5
Starting from DFT lattice parameters and positions (PBE), the X-ray powder pattern of Pr3Re2O10 was computed for Cu Kα (weighted mean of Kα1 and Kα2).

Largest 6 diffraction maxima, by intensity, 10 to 90 degrees two-theta:
Position (°2θ)	intensity
26.62	1000
32.36	769
28.26	713
24.86	571
46.42	460
18.05	383

Lattice parameters (Å, degrees): 5.5614 5.5614 7.1492 107.52 107.52 89.40
Atoms (fractional coordinates):
Pr 0.0000 0.0000 0.0000
Pr 0.2569 0.7431 0.5000
Pr 0.7431 0.2569 0.5000
Re 0.3652 0.3652 0.8236
Re 0.6348 0.6348 0.1764
O 0.0926 0.0926 0.7181
O 0.1229 0.6019 0.7865
O 0.3291 0.3291 0.5273
O 0.3528 0.3528 0.0972
O 0.3981 0.8771 0.2135
O 0.6019 0.1229 0.7865
O 0.6472 0.6472 0.9028
O 0.6709 0.6709 0.4727
O 0.8771 0.3981 0.2135
O 0.9074 0.9074 0.2819

# 6
Starting from DFT lattice parameters and positions (PBE), the X-ray powder pattern of ErZnRh2 was computed for Cu Kα (weighted mean of Kα1 and Kα2).

Largest 6 diffraction maxima, by intensity, 10 to 90 degrees two-theta:
Position (°2θ)	intensity
39.57	1000
71.79	335
57.21	168
85.22	107
23.93	107
46.77	56

Lattice parameters (Å, degrees): 4.5547 4.5547 4.5547 60.00 60.00 60.00
Atoms (fractional coordinates):
Er 0.0000 0.0000 0.0000
Zn 0.5000 0.5000 0.5000
Rh 0.2500 0.2500 0.2500
Rh 0.7500 0.7500 0.7500